1.
Starting from DFT lattice parameters and positions (PBE), the PXRD pattern of InHgBr2 was simulated for CuKα.

Cell and atoms:
```
data_InHgBr2
_chemical_formula_sum 'In2 Hg2 Br4'
_cell_length_a 6.717
_cell_length_b 6.840
_cell_length_c 7.661
_cell_angle_alpha 85.99
_cell_angle_beta 64.25
_cell_angle_gamma 80.63
_space_group_name_H-M_alt 'P 1'
_space_group_IT_number 1
loop_
_space_group_symop_operation_xyz
'x,y,z'
loop_
_atom_site_label
_atom_site_type_symbol
_atom_site_fract_x
_atom_site_fract_y
_atom_site_fract_z
_atom_site_occupancy
In1 In 0.000 0.000 0.000 1
In2 In 0.479 0.520 0.000 1
Hg1 Hg 0.145 0.166 0.558 1
Hg2 Hg 0.702 0.162 0.442 1
Br1 Br 0.158 0.683 0.300 1
Br2 Br 0.456 0.682 0.699 1
Br3 Br 0.462 0.147 0.000 1
Br4 Br 0.853 0.547 0.000 1
```

The 6 most intense peaks (2θ = 15–90°), in order of rising 2θ:
4.831 Å, 18.36°, I = 100, (0 1 -1)
3.449 Å, 25.83°, I = 51, (0 0 2)
3.375 Å, 26.41°, I = 50, (0 2 0)
3.314 Å, 26.90°, I = 59, (2 0 1)
3.182 Å, 28.04°, I = 60, (2 1 1)
3.031 Å, 29.46°, I = 54, (0 2 -1)

2.
Starting from DFT lattice parameters and positions (PBE), the PXRD pattern of In3HgBr3 was simulated for CuKα.

Cell and atoms:
```
data_In3HgBr3
_chemical_formula_sum 'In6 Hg2 Br6'
_cell_length_a 8.482
_cell_length_b 8.486
_cell_length_c 8.493
_cell_angle_alpha 68.78
_cell_angle_beta 68.88
_cell_angle_gamma 68.80
_space_group_name_H-M_alt 'P -1'
_space_group_IT_number 2
loop_
_space_group_symop_operation_xyz
'x,y,z'
'-x,-y,-z'
loop_
_atom_site_label
_atom_site_type_symbol
_atom_site_fract_x
_atom_site_fract_y
_atom_site_fract_z
_atom_site_occupancy
In1 In 0.059 0.436 0.231 1
In2 In 0.269 0.941 0.064 1
In3 In 0.436 0.731 0.559 1
Hg1 Hg 0.335 0.335 0.835 1
Br1 Br 0.111 0.828 0.854 1
Br2 Br 0.172 0.646 0.389 1
Br3 Br 0.354 0.111 0.328 1
```

The 6 most intense peaks (2θ = 15–90°), in order of rising 2θ:
3.845 Å, 23.13°, I = 60, (2 0 1)
3.099 Å, 28.81°, I = 35, (2 -1 0)
2.769 Å, 32.33°, I = 100, (1 1 -2)
2.671 Å, 33.55°, I = 99, (3 1 2)
2.247 Å, 40.13°, I = 23, (3 1 -1)
1.923 Å, 47.28°, I = 29, (4 2 0)

3.
Starting from DFT lattice parameters and positions (PBE), the PXRD pattern of In2HgBr6 was simulated for CuKα.

Cell and atoms:
```
data_In2HgBr6
_chemical_formula_sum 'In8 Hg4 Br24'
_cell_length_a 19.678
_cell_length_b 12.248
_cell_length_c 6.826
_cell_angle_alpha 90.00
_cell_angle_beta 108.41
_cell_angle_gamma 90.00
_space_group_name_H-M_alt 'C 1 2/c 1'
_space_group_IT_number 15
loop_
_space_group_symop_operation_xyz
'x,y,z'
'-x,-y,-z'
'-x,y,-z+1/2'
'x,-y,z+1/2'
'x+1/2,y+1/2,z'
'-x+1/2,-y+1/2,-z'
'-x+1/2,y+1/2,-z+1/2'
'x+1/2,-y+1/2,z+1/2'
loop_
_atom_site_label
_atom_site_type_symbol
_atom_site_fract_x
_atom_site_fract_y
_atom_site_fract_z
_atom_site_occupancy
In1 In 0.164 0.116 0.284 1
Hg1 Hg 0.000 0.478 0.750 1
Br1 Br 0.082 0.254 0.063 1
Br2 Br 0.118 0.080 0.608 1
Br3 Br 0.204 0.384 0.617 1
```

The 6 most intense peaks (2θ = 15–90°), in order of rising 2θ:
5.548 Å, 15.97°, I = 100, (3 1 0)
4.959 Å, 17.89°, I = 36, (3 1 -1)
4.450 Å, 19.95°, I = 41, (0 2 1)
3.298 Å, 27.03°, I = 41, (1 3 1)
3.219 Å, 27.71°, I = 57, (3 1 -2)
2.909 Å, 30.73°, I = 38, (2 4 0)

4.
Starting from DFT lattice parameters and positions (PBE), the PXRD pattern of In4Hg2Br3 was simulated for CuKα.

Cell and atoms:
```
data_In4Hg2Br3
_chemical_formula_sum 'In16 Hg8 Br12'
_cell_length_a 13.150
_cell_length_b 15.337
_cell_length_c 6.580
_cell_angle_alpha 90.00
_cell_angle_beta 104.96
_cell_angle_gamma 90.00
_space_group_name_H-M_alt 'C 1 2/c 1'
_space_group_IT_number 15
loop_
_space_group_symop_operation_xyz
'x,y,z'
'-x,-y,-z'
'-x,y,-z+1/2'
'x,-y,z+1/2'
'x+1/2,y+1/2,z'
'-x+1/2,-y+1/2,-z'
'-x+1/2,y+1/2,-z+1/2'
'x+1/2,-y+1/2,z+1/2'
loop_
_atom_site_label
_atom_site_type_symbol
_atom_site_fract_x
_atom_site_fract_y
_atom_site_fract_z
_atom_site_occupancy
In1 In 0.121 0.130 0.038 1
In2 In 0.181 0.493 0.621 1
Hg1 Hg 0.121 0.318 0.854 1
Br1 Br 0.000 0.404 0.250 1
Br2 Br 0.113 0.100 0.557 1
```

The 6 most intense peaks (2θ = 15–90°), in order of rising 2θ:
5.893 Å, 15.04°, I = 100, (1 1 -1)
3.283 Å, 27.16°, I = 41, (0 4 1)
3.176 Å, 28.10°, I = 55, (4 0 0)
2.766 Å, 32.36°, I = 93, (1 3 -2)
2.484 Å, 36.16°, I = 46, (3 5 0)
2.451 Å, 36.66°, I = 48, (2 2 2)

5.
Starting from DFT lattice parameters and positions (PBE), the PXRD pattern of Na2In2HgBr6 was simulated for CuKα.

Cell and atoms:
```
data_Na2In2HgBr6
_chemical_formula_sum 'Na4 In4 Hg2 Br12'
_cell_length_a 8.437
_cell_length_b 11.708
_cell_length_c 8.953
_cell_angle_alpha 90.00
_cell_angle_beta 99.86
_cell_angle_gamma 90.00
_space_group_name_H-M_alt 'C 1 2/m 1'
_space_group_IT_number 12
loop_
_space_group_symop_operation_xyz
'x,y,z'
'-x,-y,-z'
'-x,y,-z'
'x,-y,z'
'x+1/2,y+1/2,z'
'-x+1/2,-y+1/2,-z'
'-x+1/2,y+1/2,-z'
'x+1/2,-y+1/2,z'
loop_
_atom_site_label
_atom_site_type_symbol
_atom_site_fract_x
_atom_site_fract_y
_atom_site_fract_z
_atom_site_occupancy
Na1 Na 0.000 0.202 0.000 1
In1 In 0.055 0.000 0.657 1
Hg1 Hg 0.000 0.500 0.500 1
Br1 Br 0.170 0.000 0.174 1
Br2 Br 0.215 0.180 0.771 1
```

The 6 most intense peaks (2θ = 15–90°), in order of rising 2θ:
5.854 Å, 15.13°, I = 67, (0 2 0)
4.878 Å, 18.19°, I = 77, (0 2 1)
3.481 Å, 25.59°, I = 84, (1 1 2)
3.389 Å, 26.30°, I = 61, (2 2 0)
3.365 Å, 26.49°, I = 59, (1 3 -1)
3.322 Å, 26.84°, I = 100, (2 0 -2)

6.
Starting from DFT lattice parameters and positions (PBE), the PXRD pattern of RbInHg2Br8 was simulated for CuKα.

Cell and atoms:
```
data_RbInHg2Br8
_chemical_formula_sum 'Rb1 In1 Hg2 Br8'
_cell_length_a 6.900
_cell_length_b 7.828
_cell_length_c 9.783
_cell_angle_alpha 113.48
_cell_angle_beta 93.60
_cell_angle_gamma 94.61
_space_group_name_H-M_alt 'P -1'
_space_group_IT_number 2
loop_
_space_group_symop_operation_xyz
'x,y,z'
'-x,-y,-z'
loop_
_atom_site_label
_atom_site_type_symbol
_atom_site_fract_x
_atom_site_fract_y
_atom_site_fract_z
_atom_site_occupancy
Rb1 Rb 0.000 0.000 0.000 1
In1 In 0.000 0.000 0.500 1
Hg1 Hg 0.459 0.266 0.791 1
Br1 Br 0.146 0.778 0.236 1
Br2 Br 0.223 0.872 0.659 1
Br3 Br 0.291 0.296 0.558 1
Br4 Br 0.450 0.290 0.062 1
```

The 6 most intense peaks (2θ = 15–90°), in order of rising 2θ:
5.723 Å, 15.48°, I = 69, (1 0 -1)
3.928 Å, 22.64°, I = 58, (1 0 -2)
3.566 Å, 24.97°, I = 61, (0 2 0)
3.310 Å, 26.93°, I = 61, (2 0 -1)
3.023 Å, 29.55°, I = 100, (1 2 0)
2.516 Å, 35.69°, I = 61, (2 -2 2)

7.
Starting from DFT lattice parameters and positions (PBE), the PXRD pattern of InSnHgBr6 was simulated for CuKα.

Cell and atoms:
```
data_InSnHgBr6
_chemical_formula_sum 'In1 Sn1 Hg1 Br6'
_cell_length_a 7.0642
_cell_length_b 7.0642
_cell_length_c 8.7621
_cell_angle_alpha 90.00
_cell_angle_beta 90.00
_cell_angle_gamma 120.00
_space_group_name_H-M_alt 'P 3 1 2'
_space_group_IT_number 149
loop_
_space_group_symop_operation_xyz
'x,y,z'
'-y,x-y,z'
'-x+y,-x,z'
'-y,-x,-z'
'-x+y,y,-z'
'x,x-y,-z'
loop_
_atom_site_label
_atom_site_type_symbol
_atom_site_fract_x
_atom_site_fract_y
_atom_site_fract_z
_atom_site_occupancy
In1 In 0.0000 0.0000 0.0000 1
Sn1 Sn 0.6667 0.3333 0.0000 1
Hg1 Hg 0.3333 0.6667 0.5000 1
Br1 Br 0.3218 0.0165 0.1827 1
```

The 6 most intense peaks (2θ = 15–90°), in order of rising 2θ:
5.016 Å, 17.68°, I = 100, (1 0 1)
3.276 Å, 27.22°, I = 49, (1 1 1)
2.750 Å, 32.56°, I = 93, (2 -1 2)
2.236 Å, 40.34°, I = 25, (3 -1 1)
2.039 Å, 44.42°, I = 34, (3 0 0)
1.862 Å, 48.93°, I = 25, (1 1 4)

8.
Starting from DFT lattice parameters and positions (PBE), the PXRD pattern of In4HgTe2Br was simulated for CuKα.

Cell and atoms:
```
data_In4HgTe2Br
_chemical_formula_sum 'In16 Hg4 Te8 Br4'
_cell_length_a 9.025
_cell_length_b 9.029
_cell_length_c 12.634
_cell_angle_alpha 90.00
_cell_angle_beta 90.00
_cell_angle_gamma 90.00
_space_group_name_H-M_alt 'I m m a'
_space_group_IT_number 74
_space_group_name_Hall '-I 2b 2'
loop_
_atom_site_label
_atom_site_type_symbol
_atom_site_fract_x
_atom_site_fract_y
_atom_site_fract_z
_atom_site_occupancy
In1 In 0.000 0.008 0.245 1
In2 In 0.250 0.250 0.004 1
Hg1 Hg 0.000 0.000 0.000 1
Te1 Te 0.000 0.000 0.500 1
Te2 Te 0.250 0.250 0.250 1
Br1 Br 0.250 0.250 0.750 1
```

The 6 most intense peaks (2θ = 15–90°), in order of rising 2θ:
3.192 Å, 27.96°, I = 100, (2 2 0)
3.159 Å, 28.25°, I = 48, (0 0 4)
2.257 Å, 39.95°, I = 38, (4 0 0)
2.245 Å, 40.17°, I = 75, (2 2 4)
1.836 Å, 49.65°, I = 40, (4 0 4)
1.301 Å, 72.70°, I = 25, (6 2 4)

9.
Starting from DFT lattice parameters and positions (PBE), the PXRD pattern of HgIrPb2Br was simulated for CuKα.

Cell and atoms:
```
data_HgIrPb2Br
_chemical_formula_sum 'Hg1 Ir1 Pb2 Br1'
_cell_length_a 5.269
_cell_length_b 5.269
_cell_length_c 5.360
_cell_angle_alpha 90.00
_cell_angle_beta 90.00
_cell_angle_gamma 90.00
_space_group_name_H-M_alt 'P 4/m m m'
_space_group_IT_number 123
_space_group_name_Hall '-P 4 2'
loop_
_atom_site_label
_atom_site_type_symbol
_atom_site_fract_x
_atom_site_fract_y
_atom_site_fract_z
_atom_site_occupancy
Hg1 Hg 0.000 0.000 0.000 1
Ir1 Ir 0.000 0.000 0.500 1
Pb1 Pb 0.000 0.500 0.500 1
Br1 Br 0.500 0.500 0.000 1
```

The 6 most intense peaks (2θ = 15–90°), in order of rising 2θ:
5.269 Å, 16.83°, I = 65, (1 0 0)
3.059 Å, 29.19°, I = 97, (1 1 1)
2.680 Å, 33.44°, I = 52, (0 0 2)
2.635 Å, 34.03°, I = 100, (2 0 0)
1.879 Å, 48.45°, I = 75, (2 0 2)
1.530 Å, 60.53°, I = 39, (2 2 2)

10.
Starting from DFT lattice parameters and positions (PBE), the PXRD pattern of Rb2HgIrBr6 was simulated for CuKα.

Cell and atoms:
```
data_Rb2HgIrBr6
_chemical_formula_sum 'Rb4 Hg2 Ir2 Br12'
_cell_length_a 7.813
_cell_length_b 7.813
_cell_length_c 11.094
_cell_angle_alpha 90.00
_cell_angle_beta 90.00
_cell_angle_gamma 90.00
_space_group_name_H-M_alt 'I 4/m m m'
_space_group_IT_number 139
_space_group_name_Hall '-I 4 2'
loop_
_atom_site_label
_atom_site_type_symbol
_atom_site_fract_x
_atom_site_fract_y
_atom_site_fract_z
_atom_site_occupancy
Rb1 Rb 0.000 0.500 0.250 1
Hg1 Hg 0.000 0.000 0.000 1
Ir1 Ir 0.000 0.000 0.500 1
Br1 Br 0.000 0.000 0.272 1
Br2 Br 0.229 0.229 0.500 1
```

The 6 most intense peaks (2θ = 15–90°), in order of rising 2θ:
5.532 Å, 16.02°, I = 100, (0 0 2)
3.912 Å, 22.73°, I = 100, (1 1 2)
2.774 Å, 32.28°, I = 44, (0 0 4)
2.762 Å, 32.41°, I = 88, (2 2 0)
2.259 Å, 39.92°, I = 42, (3 1 2)
1.956 Å, 46.43°, I = 92, (4 0 0)

Q: What is the formula in the seventh record?
A: InSnHgBr6

Copy entry 6 word for word.
Starting from DFT lattice parameters and positions (PBE), the PXRD pattern of RbInHg2Br8 was simulated for CuKα.

Cell and atoms:
```
data_RbInHg2Br8
_chemical_formula_sum 'Rb1 In1 Hg2 Br8'
_cell_length_a 6.900
_cell_length_b 7.828
_cell_length_c 9.783
_cell_angle_alpha 113.48
_cell_angle_beta 93.60
_cell_angle_gamma 94.61
_space_group_name_H-M_alt 'P -1'
_space_group_IT_number 2
loop_
_space_group_symop_operation_xyz
'x,y,z'
'-x,-y,-z'
loop_
_atom_site_label
_atom_site_type_symbol
_atom_site_fract_x
_atom_site_fract_y
_atom_site_fract_z
_atom_site_occupancy
Rb1 Rb 0.000 0.000 0.000 1
In1 In 0.000 0.000 0.500 1
Hg1 Hg 0.459 0.266 0.791 1
Br1 Br 0.146 0.778 0.236 1
Br2 Br 0.223 0.872 0.659 1
Br3 Br 0.291 0.296 0.558 1
Br4 Br 0.450 0.290 0.062 1
```

The 6 most intense peaks (2θ = 15–90°), in order of rising 2θ:
5.723 Å, 15.48°, I = 69, (1 0 -1)
3.928 Å, 22.64°, I = 58, (1 0 -2)
3.566 Å, 24.97°, I = 61, (0 2 0)
3.310 Å, 26.93°, I = 61, (2 0 -1)
3.023 Å, 29.55°, I = 100, (1 2 0)
2.516 Å, 35.69°, I = 61, (2 -2 2)